(1)
La5Co2Au: theoretical powder diffraction line list (Cu Kα X-rays), based on a cell relaxed with PBE.

Structural model:
```
16
Lattice="-3.876 3.876 7.091 3.876 -3.876 7.091 3.876 3.876 -7.091" Properties=species:S:1:pos:R:3 pbc="T T T"
La 0.000 0.000 0.000
La 5.145 1.269 -1.870
La 1.269 2.607 -1.870
La 5.145 1.269 1.870
La 1.269 2.607 1.870
La 0.000 0.000 7.091
La 2.607 1.269 5.221
La -1.269 2.607 5.221
La 2.607 1.269 8.960
La -1.269 2.607 8.960
Co 2.845 1.031 0.000
Co 2.845 -1.031 7.091
Co 1.031 4.907 0.000
Co 1.031 2.845 7.091
Au 0.000 0.000 3.545
Au 0.000 0.000 10.636
```

Principal peaks in the range 2θ from 5° to 70°, in order of falling intensity:
32.0°, intensity 1000
36.7°, intensity 919
34.3°, intensity 777
30.0°, intensity 594
56.7°, intensity 352
64.9°, intensity 330
26.5°, intensity 324
41.1°, intensity 282
32.7°, intensity 278
52.3°, intensity 256
68.1°, intensity 194
53.9°, intensity 183


(2)
Na5Sr6: theoretical powder diffraction line list (Cu Kα X-rays), based on a cell relaxed with PBE.

Structural model:
```
11
Lattice="5.275 -6.828 0.000 5.275 6.828 0.000 -1.679 0.000 7.324" Properties=species:S:1:pos:R:3 pbc="T T T"
Na 0.000 0.000 0.000
Na 4.435 5.224 3.662
Na 5.275 3.494 0.000
Na 5.275 -3.494 0.000
Na 4.435 -5.224 3.662
Sr 2.789 2.089 2.274
Sr 2.091 0.000 5.905
Sr 2.789 -2.089 2.274
Sr 6.081 2.089 5.050
Sr 6.780 0.000 1.419
Sr 6.081 -2.089 5.050
```

Principal peaks in the range 2θ from 5° to 70°, in order of falling intensity:
23.6°, intensity 1000
26.5°, intensity 718
25.6°, intensity 634
26.8°, intensity 609
28.4°, intensity 490
26.7°, intensity 329
32.8°, intensity 260
10.8°, intensity 256
17.2°, intensity 237
32.3°, intensity 228
28.9°, intensity 222
36.8°, intensity 215


(3)
CuCl: theoretical powder diffraction line list (Cu Kα X-rays), based on a cell relaxed with PBE.

Structural model:
```
8
Lattice="-2.750 2.916 6.073 2.750 -2.916 6.073 2.750 2.916 -6.073" Properties=species:S:1:pos:R:3 pbc="T T T"
Cu 2.750 1.458 -2.881
Cu 2.750 1.458 -0.130
Cu 0.000 1.458 0.130
Cu 0.000 1.458 2.881
Cl 1.560 0.000 3.037
Cl 1.375 3.098 0.000
Cl 1.190 0.000 9.110
Cl 1.375 2.733 6.073
```

Principal peaks in the range 2θ from 5° to 70°, in order of falling intensity:
29.4°, intensity 1000
16.9°, intensity 816
17.7°, intensity 697
26.7°, intensity 693
55.0°, intensity 606
45.3°, intensity 562
35.6°, intensity 382
36.9°, intensity 351
52.7°, intensity 174
51.7°, intensity 164
50.5°, intensity 156
61.0°, intensity 154


(4)
Cd6Pd: theoretical powder diffraction line list (Cu Kα X-rays), based on a cell relaxed with PBE.

Structural model:
```
14
Lattice="4.171 -3.637 0.000 4.171 3.637 0.000 0.000 0.000 9.826" Properties=species:S:1:pos:R:3 pbc="T T T"
Cd 2.636 2.142 2.456
Cd 4.171 2.565 5.844
Cd 4.171 2.565 8.894
Cd 2.679 0.000 0.000
Cd 2.679 0.000 4.913
Cd 5.707 2.142 2.456
Cd 2.636 -2.142 7.369
Cd 5.663 0.000 0.000
Cd 5.663 0.000 4.913
Cd 4.171 -2.565 0.931
Cd 4.171 -2.565 3.981
Cd 5.707 -2.142 7.369
Pd 4.171 0.223 7.369
Pd 4.171 -0.223 2.456
```

Principal peaks in the range 2θ from 5° to 70°, in order of falling intensity:
39.2°, intensity 1000
37.6°, intensity 928
35.8°, intensity 740
38.7°, intensity 601
31.8°, intensity 562
30.6°, intensity 460
36.9°, intensity 436
40.2°, intensity 375
42.7°, intensity 256
36.6°, intensity 252
63.4°, intensity 236
33.9°, intensity 211


(5)
Tb3Dy3Er5: theoretical powder diffraction line list (Cu Kα X-rays), based on a cell relaxed with PBE.

Structural model:
```
11
Lattice="9.581 0.000 0.000 -4.791 8.298 0.000 0.000 0.000 5.456" Properties=species:S:1:pos:R:3 pbc="T T T"
Tb -1.767 3.060 0.000
Tb 3.534 0.000 0.000
Tb 3.024 5.237 0.000
Dy -2.639 4.571 2.728
Dy 2.152 3.727 2.728
Dy 5.278 0.000 2.728
Er -3.504 6.068 0.000
Er 1.287 2.229 0.000
Er 0.000 5.532 0.000
Er 4.791 2.766 0.000
Er 7.007 0.000 0.000
```

Principal peaks in the range 2θ from 5° to 70°, in order of falling intensity:
36.4°, intensity 1000
32.9°, intensity 932
16.2°, intensity 755
27.0°, intensity 744
32.8°, intensity 646
32.4°, intensity 624
10.7°, intensity 484
46.8°, intensity 457
42.6°, intensity 423
28.5°, intensity 389
61.5°, intensity 318
18.5°, intensity 260


(6)
MnH4NCl3: theoretical powder diffraction line list (Cu Kα X-rays), based on a cell relaxed with PBE.

Structural model:
```
36
Lattice="6.391 0.000 0.000 0.006 7.305 0.000 0.041 0.026 12.739" Properties=species:S:1:pos:R:3 pbc="T T T"
Mn 0.000 0.000 0.000
Mn 0.032 3.672 6.369
Mn 3.201 7.304 0.000
Mn 3.228 3.672 6.369
H 0.061 3.660 2.149
H 1.343 3.126 11.420
H 1.342 4.659 10.656
H 1.346 3.229 9.710
H 1.893 6.875 3.347
H 1.910 6.773 5.057
H 1.912 1.000 4.290
H 3.177 0.035 8.512
H 3.265 7.303 4.213
H 4.535 6.341 8.445
H 4.541 0.466 9.390
H 4.537 0.569 7.680
H 5.092 2.674 2.090
H 5.097 4.105 3.035
H 5.093 4.206 1.325
H 6.376 3.668 10.590
N 1.015 3.671 10.594
N 2.230 0.010 4.228
N 4.207 0.026 8.506
N 5.422 3.661 2.150
Cl 1.589 5.884 1.387
Cl 1.591 1.913 0.535
Cl 1.611 3.189 4.436
Cl 1.635 5.581 6.912
Cl 1.643 2.242 7.749
Cl 1.663 6.843 10.808
Cl 4.772 0.490 1.932
Cl 4.812 5.103 4.990
Cl 4.820 1.763 5.825
Cl 4.845 5.419 12.207
Cl 4.847 1.448 11.353
Cl 4.844 4.154 8.303
```

Principal peaks in the range 2θ from 5° to 70°, in order of falling intensity:
14.0°, intensity 1000
37.4°, intensity 212
40.1°, intensity 190
31.5°, intensity 159
28.0°, intensity 116
31.3°, intensity 109
28.1°, intensity 108
31.5°, intensity 103
47.4°, intensity 98
37.3°, intensity 83
51.8°, intensity 81
40.1°, intensity 69